Structure and computed powder X-ray diffraction pattern of Th4Fe13Sn5 (a cell relaxed with PBE; Cu Ka).

Cell and atoms:
abc: 8.196 8.196 11.989
angles: 90.00 90.00 90.00
Fractional positions:
Th1 0.000 0.000 0.215
Th2 0.000 0.000 0.785
Th3 0.155 0.345 0.500
Th4 0.345 0.845 0.500
Th5 0.500 0.500 0.215
Th6 0.500 0.500 0.785
Th7 0.655 0.155 0.500
Th8 0.845 0.655 0.500
Fe1 0.000 0.500 0.000
Fe2 0.067 0.207 0.000
Fe3 0.124 0.376 0.180
Fe4 0.124 0.376 0.820
Fe5 0.177 0.677 0.106
Fe6 0.177 0.677 0.894
Fe7 0.207 0.933 0.000
Fe8 0.293 0.433 0.000
Fe9 0.323 0.177 0.106
Fe10 0.323 0.177 0.894
Fe11 0.376 0.876 0.180
Fe12 0.376 0.876 0.820
Fe13 0.433 0.707 0.000
Fe14 0.500 0.000 0.000
Fe15 0.567 0.293 0.000
Fe16 0.624 0.124 0.180
Fe17 0.624 0.124 0.820
Fe18 0.677 0.823 0.106
Fe19 0.677 0.823 0.894
Fe20 0.707 0.567 0.000
Fe21 0.793 0.067 0.000
Fe22 0.823 0.323 0.106
Fe23 0.823 0.323 0.894
Fe24 0.876 0.624 0.180
Fe25 0.876 0.624 0.820
Fe26 0.933 0.793 0.000
Sn1 0.000 0.000 0.500
Sn2 0.147 0.647 0.318
Sn3 0.147 0.647 0.682
Sn4 0.353 0.147 0.318
Sn5 0.353 0.147 0.682
Sn6 0.500 0.500 0.500
Sn7 0.647 0.853 0.318
Sn8 0.647 0.853 0.682
Sn9 0.853 0.353 0.318
Sn10 0.853 0.353 0.682

Top 10 peaks for 2θ = 10–90°, low angle first:
Position (°2θ)  Rel. int.  index
28.54  59.2  2 1 2
30.86  22.2  2 2 0
33.16  86.5  2 1 3
34.61  100.0  3 1 0
38.81  35.0  2 1 4
41.53  37.8  3 1 3
43.74  20.1  2 0 5
46.30  24.3  4 1 1
49.75  23.2  4 2 0
65.28  25.8  3 1 7